For K2LiTa6P3O24, a cell relaxed with PBE gives the simulated XRD peak list in this record (λ = 1.5418 Å (Cu Kα)).

Principal peaks in the range 2θ from 5° to 70°, low angle first:
(0 1 0), 2θ 11.37, intensity 42; (1 0 -1), 2θ 13.24, intensity 58; (0 1 1), 2θ 18.53, intensity 40; (1 1 1), 2θ 25.41, intensity 41; (0 2 -2), 2θ 26.67, intensity 100; (2 0 1), 2θ 28.76, intensity 19; (2 1 -2), 2θ 29.07, intensity 24; (0 3 -1), 2θ 32.67, intensity 19; (-1 1 3), 2θ 37.16, intensity 40; (2 2 -4), 2θ 47.09, intensity 18

Crystal structure
Cell: 8.4720 8.4809 8.4824 Å, 104.03 104.14 104.13°
Space group P1 (No. 1)
Inequivalent atoms, fractional coordinates:
K 0.0000 0.0000 0.0000
K 0.4075 0.4878 0.4869
Li 0.2704 0.9670 0.6512
Ta 0.0552 0.5614 0.1222
Ta 0.3582 0.3725 0.9323
Ta 0.5490 0.0531 0.0581
Ta 0.6744 0.2443 0.7384
Ta 0.7412 0.7546 0.2496
Ta 0.8652 0.4368 0.4399
P 0.2032 0.6763 0.8101
P 0.4277 0.9003 0.3616
P 0.9792 0.1246 0.5855
O 0.0186 0.4667 0.2949
O 0.0628 0.6371 0.6372
O 0.1237 0.6938 0.9561
O 0.1526 0.1533 0.7231
O 0.2030 0.4278 0.0584
O 0.2565 0.7575 0.3244
O 0.2862 0.5324 0.7946
O 0.3385 0.8512 0.8408
O 0.3878 0.1900 0.0154
O 0.4127 0.9824 0.2175
O 0.4587 0.0363 0.5358
O 0.4932 0.3303 0.7705
O 0.5516 0.5545 0.0887
O 0.5727 0.8190 0.3771
O 0.6355 0.0887 0.8791
O 0.6780 0.9015 0.1155
O 0.7052 0.2485 0.2402
O 0.7290 0.3707 0.5836
O 0.7673 0.6056 0.3972
O 0.8366 0.1112 0.6701
O 0.8579 0.4010 0.9342
O 0.9123 0.7153 0.1520
O 0.9400 0.9526 0.4444
O 0.9963 0.2709 0.5068